No. 1
Diffraction record for Pm2Pr3Sb3. The PXRD pattern is simulated, not measured: it uses a crystal structure in OQMD, relaxed with GGA-PBE and Cu Kα.
Lines closer than 0.1° are merged.

abc: 9.3430 9.3430 6.5297
angles: 90.00 90.00 120.00
Space group P6_3/mcm (No. 193)
Asymmetric unit:
Pm: 0.3333 0.6667 0.0000
Pr: 0.0000 0.2501 0.2500
Sb: 0.0000 0.3888 0.7500

Principal peaks in the range 15° ≤ 2θ ≤ 90°, sorted by position:
d/Å	2θ/deg	intensity	(hkl)
3.058	29.20	32	2 1 0
2.770	32.32	100	2 1 1
2.697	33.22	58	3 0 0
2.676	33.49	89	1 1 2
1.900	47.89	23	2 2 2
1.773	51.54	27	2 1 3



No. 2
Diffraction record for KTbAsSe3. The PXRD pattern is simulated, not measured: it uses a crystal structure in OQMD, relaxed with GGA-PBE and Cu Kα.
Lines closer than 0.1° are merged.

abc: 4.297 15.911 10.315
angles: 90.00 90.00 90.00
Space group Cmcm (No. 63)
Asymmetric unit:
K: 0.000 0.244 0.250
Tb: 0.000 0.000 0.000
As: 0.000 0.461 0.750
Se: 0.000 0.096 0.750
Se: 0.000 0.375 0.546

Principal peaks in the range 15° ≤ 2θ ≤ 90°, sorted by position:
d/Å	2θ/deg	intensity	(hkl)
3.339	26.70	25	1 3 0
3.176	28.09	53	1 3 1
2.803	31.93	100	1 3 2
2.579	34.79	31	0 0 4
2.291	39.33	63	1 5 2
2.148	42.06	28	2 0 0



No. 3
Diffraction record for ZnSn2O4. The PXRD pattern is simulated, not measured: it uses a crystal structure in OQMD, relaxed with GGA-PBE and Cu Kα.
Lines closer than 0.1° are merged.

abc: 6.535 6.535 9.055
angles: 90.00 90.00 90.00
Space group P4_122 (No. 91)
Asymmetric unit:
Zn: 0.000 0.237 0.000
Sn: 0.236 0.236 0.375
Sn: 0.252 0.500 0.750
O: 0.044 0.264 0.773
O: 0.269 0.482 0.984

Principal peaks in the range 15° ≤ 2θ ≤ 90°, sorted by position:
d/Å	2θ/deg	intensity	(hkl)
3.234	27.58	36	1 1 2
2.781	32.18	100	2 1 1
2.740	32.68	47	1 0 3
2.650	33.83	24	2 0 2
1.777	51.41	33	3 2 1
1.617	56.95	39	2 2 4